The following is a calculated X-ray powder pattern of Tm6Co30P19. It was derived from a cell relaxed with PBE, using Cu Kα, 1.54184 Å.
Kinematic intensities with the Lorentz-polarization factor, no thermal factor.

Structural model:
```
Tm6Co30P19
1.0
14.6356 0.0000 0.0000
-7.3178 12.6748 0.0000
0.0000 0.0000 3.5581
Tm Co P
6 30 19
direct
0.0380 0.7647 0.0000
0.2353 0.2734 0.0000
0.4310 0.0598 0.5000
0.6288 0.5690 0.5000
0.7266 0.9620 0.0000
0.9402 0.3712 0.5000
0.0633 0.6229 0.5000
0.0679 0.2500 0.5000
0.1085 0.3919 0.0000
0.1086 0.0152 0.0000
0.1755 0.5363 0.5000
0.1821 0.9321 0.5000
0.2214 0.6911 0.0000
0.2594 0.1299 0.5000
0.2835 0.8915 0.0000
0.3089 0.5302 0.0000
0.3608 0.8245 0.5000
0.3771 0.4404 0.5000
0.4073 0.2016 0.0000
0.4637 0.6392 0.5000
0.4698 0.7786 0.0000
0.4812 0.4004 0.0000
0.5576 0.3183 0.5000
0.5596 0.9367 0.5000
0.5996 0.0807 0.0000
0.6081 0.7165 0.0000
0.6817 0.2394 0.5000
0.7500 0.8179 0.5000
0.7606 0.4424 0.5000
0.7943 0.5927 0.0000
0.7984 0.2057 0.0000
0.8701 0.1295 0.5000
0.8705 0.7406 0.5000
0.9066 0.8914 0.0000
0.9193 0.5188 0.0000
0.9848 0.0934 0.0000
0.0163 0.8988 0.5000
0.0784 0.5317 0.0000
0.1012 0.1175 0.5000
0.1970 0.7871 0.5000
0.2129 0.4099 0.5000
0.2706 0.0372 0.0000
0.3333 0.6667 0.5000
0.3941 0.2954 0.5000
0.4533 0.9216 0.0000
0.4683 0.5467 0.0000
0.5656 0.2138 0.0000
0.5901 0.8030 0.5000
0.6481 0.4344 0.0000
0.7046 0.0987 0.5000
0.7665 0.7294 0.0000
0.7862 0.3519 0.0000
0.8825 0.9837 0.5000
0.9013 0.6059 0.5000
0.9628 0.2335 0.0000
```

Peak list (10 most intense, 2θ from 10° to 90°, by angle)
- 2θ = 27.88°, intensity 11
- 2θ = 30.75°, intensity 10
- 2θ = 35.91°, intensity 12
- 2θ = 37.55°, intensity 13
- 2θ = 38.03°, intensity 17
- 2θ = 40.05°, intensity 100
- 2θ = 51.36°, intensity 19
- 2θ = 54.67°, intensity 20
- 2θ = 78.30°, intensity 14
- 2θ = 89.17°, intensity 10

The following is a calculated X-ray powder pattern of Tm5Co19P12. It was derived from a cell relaxed with PBE, using Cu Kα, 1.54184 Å.
Kinematic intensities with the Lorentz-polarization factor, no thermal factor.

Structural model:
```
Tm5Co19P12
1.0
11.9393 0.0000 0.0000
-5.9696 10.3397 0.0000
0.0000 0.0000 3.6463
Tm Co P
5 19 12
direct
0.0000 0.8132 0.0000
0.1868 0.1868 0.0000
0.3333 0.6667 0.5000
0.6667 0.3333 0.5000
0.8132 0.0000 0.0000
0.0000 0.0000 0.5000
0.0000 0.2848 0.0000
0.0000 0.4477 0.5000
0.1258 0.6423 0.0000
0.1781 0.3772 0.5000
0.1990 0.8219 0.5000
0.2848 0.0000 0.0000
0.3577 0.4835 0.0000
0.3772 0.1781 0.5000
0.4477 0.0000 0.5000
0.4835 0.3577 0.0000
0.5165 0.8742 0.0000
0.5523 0.5523 0.5000
0.6228 0.8010 0.5000
0.6423 0.1258 0.0000
0.7152 0.7152 0.0000
0.8010 0.6228 0.5000
0.8219 0.1990 0.5000
0.8742 0.5165 0.0000
0.0000 0.1804 0.5000
0.0000 0.6335 0.5000
0.1664 0.4808 0.0000
0.1804 0.0000 0.5000
0.3144 0.8336 0.0000
0.3665 0.3665 0.5000
0.4808 0.1664 0.0000
0.5192 0.6856 0.0000
0.6335 0.0000 0.5000
0.6856 0.5192 0.0000
0.8196 0.8196 0.5000
0.8336 0.3144 0.0000
```

Peak list (10 most intense, 2θ from 10° to 90°, by angle)
- 2θ = 25.90°, intensity 11
- 2θ = 29.94°, intensity 12
- 2θ = 35.85°, intensity 13
- 2θ = 39.00°, intensity 100
- 2θ = 39.98°, intensity 46
- 2θ = 50.03°, intensity 21
- 2θ = 53.15°, intensity 20
- 2θ = 60.07°, intensity 11
- 2θ = 73.93°, intensity 11
- 2θ = 75.99°, intensity 13

The following is a calculated X-ray powder pattern of U2Co12P7. It was derived from a cell relaxed with PBE, using Cu Kα, 1.54184 Å.
Kinematic intensities with the Lorentz-polarization factor, no thermal factor.

Structural model:
```
U2Co12P7
1.0
8.9568 0.0000 0.0000
-4.4784 7.7569 0.0000
0.0000 0.0000 3.5616
U Co P
2 12 7
direct
0.0000 0.0000 0.0000
0.3333 0.6667 0.5000
0.0486 0.7729 0.5000
0.1091 0.3979 0.0000
0.2271 0.2756 0.5000
0.2888 0.8909 0.0000
0.3937 0.2121 0.0000
0.5384 0.1017 0.5000
0.5634 0.4616 0.5000
0.6021 0.7112 0.0000
0.7244 0.9514 0.5000
0.7879 0.1816 0.0000
0.8184 0.6063 0.0000
0.8983 0.4366 0.5000
0.0658 0.6209 0.0000
0.2685 0.0436 0.5000
0.3791 0.4449 0.0000
0.5551 0.9342 0.0000
0.6667 0.3333 0.0000
0.7751 0.7315 0.5000
0.9564 0.2249 0.5000
```

Peak list (10 most intense, 2θ from 10° to 90°, by angle)
- 2θ = 11.41°, intensity 14
- 2θ = 19.82°, intensity 15
- 2θ = 27.56°, intensity 20
- 2θ = 30.49°, intensity 13
- 2θ = 34.69°, intensity 12
- 2θ = 39.82°, intensity 100
- 2θ = 40.28°, intensity 14
- 2θ = 51.31°, intensity 15
- 2θ = 54.19°, intensity 18
- 2θ = 77.86°, intensity 13

The following is a calculated X-ray powder pattern of UCo2P2. It was derived from a cell relaxed with PBE, using Cu Kα, 1.54184 Å.
Kinematic intensities with the Lorentz-polarization factor, no thermal factor.

Structural model:
```
UCo2P2
1.0
3.9338 0.0000 0.0000
0.0000 3.9338 0.0000
0.0000 0.0000 8.8539
U Co P
2 4 4
direct
0.2500 0.2500 0.2475
0.7500 0.7500 0.7525
0.2500 0.2500 0.8881
0.2500 0.7500 0.5000
0.7500 0.2500 0.5000
0.7500 0.7500 0.1119
0.2500 0.2500 0.6353
0.2500 0.7500 0.0000
0.7500 0.2500 0.0000
0.7500 0.7500 0.3647
```

Peak list (10 most intense, 2θ from 10° to 90°, by angle)
- 2θ = 20.06°, intensity 10
- 2θ = 24.77°, intensity 42
- 2θ = 32.18°, intensity 22
- 2θ = 38.17°, intensity 100
- 2θ = 46.15°, intensity 26
- 2θ = 53.07°, intensity 12
- 2θ = 57.04°, intensity 13
- 2θ = 61.35°, intensity 24
- 2θ = 76.30°, intensity 11
- 2θ = 80.12°, intensity 19

The following is a calculated X-ray powder pattern of UCo2P2. It was derived from a cell relaxed with PBE, using Cu Kα, 1.54184 Å.
Kinematic intensities with the Lorentz-polarization factor, no thermal factor.

Structural model:
```
UCo2P2
1.0
4.2109 0.0000 0.0000
0.0000 4.2109 0.0000
0.0000 0.0000 8.3030
U Co P
2 4 4
direct
0.2500 0.2500 0.2179
0.7500 0.7500 0.7821
0.2500 0.2500 0.8490
0.2500 0.7500 0.0000
0.7500 0.2500 0.0000
0.7500 0.7500 0.1510
0.2500 0.2500 0.5999
0.2500 0.7500 0.5000
0.7500 0.2500 0.5000
0.7500 0.7500 0.4001
```

Peak list (10 most intense, 2θ from 10° to 90°, by angle)
- 2θ = 10.66°, intensity 34
- 2θ = 23.69°, intensity 73
- 2θ = 30.01°, intensity 46
- 2θ = 37.16°, intensity 100
- 2θ = 38.94°, intensity 49
- 2θ = 42.96°, intensity 58
- 2θ = 44.70°, intensity 27
- 2θ = 49.64°, intensity 23
- 2θ = 59.36°, intensity 29
- 2θ = 74.89°, intensity 26

The following is a calculated X-ray powder pattern of VCoP. It was derived from a cell relaxed with PBE, using Cu Kα, 1.54184 Å.
Kinematic intensities with the Lorentz-polarization factor, no thermal factor.

Structural model:
```
VCoP
1.0
5.8730 0.0000 0.0000
0.0000 3.5062 0.0000
0.0000 0.0000 6.7011
V Co P
4 4 4
direct
0.0289 0.2500 0.1683
0.4711 0.7500 0.6683
0.5289 0.2500 0.3317
0.9711 0.7500 0.8317
0.1434 0.2500 0.5618
0.3566 0.7500 0.0618
0.6434 0.2500 0.9382
0.8566 0.7500 0.4382
0.2323 0.7500 0.3747
0.2677 0.2500 0.8747
0.7323 0.7500 0.1253
0.7677 0.2500 0.6253
```

Peak list (10 most intense, 2θ from 10° to 90°, by angle)
- 2θ = 40.05°, intensity 50
- 2θ = 40.27°, intensity 100
- 2θ = 42.35°, intensity 73
- 2θ = 43.34°, intensity 29
- 2θ = 48.31°, intensity 35
- 2θ = 48.44°, intensity 34
- 2θ = 50.90°, intensity 23
- 2θ = 52.18°, intensity 43
- 2θ = 54.27°, intensity 18
- 2θ = 80.23°, intensity 19

The following is a calculated X-ray powder pattern of YCo5P3. It was derived from a cell relaxed with PBE, using Cu Kα, 1.54184 Å.
Kinematic intensities with the Lorentz-polarization factor, no thermal factor.

Structural model:
```
YCo5P3
1.0
11.7407 0.0000 0.0000
0.0000 3.6499 0.0000
0.0000 0.0000 10.2751
Y Co P
4 20 12
direct
0.2028 0.2500 0.0830
0.2972 0.7500 0.5830
0.7028 0.2500 0.4170
0.7972 0.7500 0.9170
0.0092 0.7500 0.7157
0.0118 0.7500 0.0933
0.0681 0.7500 0.4676
0.1766 0.2500 0.7788
0.1984 0.2500 0.3825
0.3016 0.7500 0.8825
0.3234 0.7500 0.2788
0.4319 0.2500 0.9676
0.4882 0.2500 0.5933
0.4908 0.2500 0.2157
0.5092 0.7500 0.7843
0.5118 0.7500 0.4067
0.5681 0.7500 0.0324
0.6766 0.2500 0.7212
0.6984 0.2500 0.1175
0.8016 0.7500 0.6175
0.8234 0.7500 0.2212
0.9319 0.2500 0.5324
0.9882 0.2500 0.9067
0.9908 0.2500 0.2843
0.1086 0.7500 0.8977
0.1118 0.2500 0.5815
0.1297 0.7500 0.2709
0.3703 0.2500 0.7709
0.3882 0.7500 0.0815
0.3914 0.2500 0.3977
0.6086 0.7500 0.6023
0.6118 0.2500 0.9185
0.6297 0.7500 0.2291
0.8703 0.2500 0.7291
0.8882 0.7500 0.4185
0.8914 0.2500 0.1023
```

Peak list (10 most intense, 2θ from 10° to 90°, by angle)
- 2θ = 37.99°, intensity 13
- 2θ = 39.20°, intensity 100
- 2θ = 39.39°, intensity 63
- 2θ = 40.43°, intensity 22
- 2θ = 43.78°, intensity 10
- 2θ = 49.45°, intensity 13
- 2θ = 49.98°, intensity 36
- 2θ = 53.52°, intensity 10
- 2θ = 53.97°, intensity 21
- 2θ = 76.61°, intensity 16

The following is a calculated X-ray powder pattern of Zr5Co19P12. It was derived from a cell relaxed with PBE, using Cu Kα, 1.54184 Å.
Kinematic intensities with the Lorentz-polarization factor, no thermal factor.

Structural model:
```
Zr5Co19P12
1.0
11.8340 0.0000 0.0000
-5.9170 10.2485 0.0000
0.0000 0.0000 3.6062
Zr Co P
5 19 12
direct
0.0000 0.8154 0.0000
0.1846 0.1846 0.0000
0.3333 0.6667 0.5000
0.6667 0.3333 0.5000
0.8154 0.0000 0.0000
0.0000 0.0000 0.5000
0.0000 0.2848 0.0000
0.0000 0.4518 0.5000
0.1274 0.6441 0.0000
0.1792 0.3769 0.5000
0.1978 0.8208 0.5000
0.2848 0.0000 0.0000
0.3559 0.4834 0.0000
0.3769 0.1792 0.5000
0.4518 0.0000 0.5000
0.4834 0.3559 0.0000
0.5166 0.8726 0.0000
0.5482 0.5482 0.5000
0.6231 0.8022 0.5000
0.6441 0.1274 0.0000
0.7152 0.7152 0.0000
0.8022 0.6231 0.5000
0.8208 0.1978 0.5000
0.8726 0.5166 0.0000
0.0000 0.1777 0.5000
0.0000 0.6380 0.5000
0.1660 0.4824 0.0000
0.1777 0.0000 0.5000
0.3164 0.8340 0.0000
0.3620 0.3620 0.5000
0.4824 0.1660 0.0000
0.5176 0.6836 0.0000
0.6380 0.0000 0.5000
0.6836 0.5176 0.0000
0.8223 0.8223 0.5000
0.8340 0.3164 0.0000
```

Peak list (10 most intense, 2θ from 10° to 90°, by angle)
- 2θ = 30.21°, intensity 8
- 2θ = 39.39°, intensity 100
- 2θ = 40.38°, intensity 37
- 2θ = 47.86°, intensity 8
- 2θ = 49.52°, intensity 8
- 2θ = 50.62°, intensity 22
- 2θ = 53.66°, intensity 20
- 2θ = 76.88°, intensity 13
- 2θ = 81.33°, intensity 8
- 2θ = 87.62°, intensity 9

The following is a calculated X-ray powder pattern of PaCo3. It was derived from a cell relaxed with PBE, using Cu Kα, 1.54184 Å.
Kinematic intensities with the Lorentz-polarization factor, no thermal factor.

Structural model:
```
PaCo3
1.0
3.8040 0.0000 0.0000
0.0000 3.8040 0.0000
0.0000 0.0000 3.8040
Pa Co
1 3
direct
0.0000 0.0000 0.0000
0.0000 0.5000 0.5000
0.5000 0.0000 0.5000
0.5000 0.5000 0.0000
```

Peak list (10 most intense, 2θ from 10° to 90°, by angle)
- 2θ = 23.39°, intensity 49
- 2θ = 33.31°, intensity 42
- 2θ = 41.10°, intensity 100
- 2θ = 47.82°, intensity 48
- 2θ = 53.89°, intensity 23
- 2θ = 59.53°, intensity 17
- 2θ = 69.95°, intensity 30
- 2θ = 74.89°, intensity 12
- 2θ = 84.47°, intensity 36
- 2θ = 89.18°, intensity 11

The following is a calculated X-ray powder pattern of Pr12Co6Pb. It was derived from a cell relaxed with PBE, using Cu Kα, 1.54184 Å.
Kinematic intensities with the Lorentz-polarization factor, no thermal factor.

Structural model:
```
Pr12Co6Pb
1.0
-5.0997 5.0997 5.0997
5.0997 -5.0997 5.0997
5.0997 5.0997 -5.0997
Pr Co Pb
12 6 1
direct
0.1203 0.8112 0.3092
0.1888 0.3092 0.4980
0.1888 0.6908 0.8797
0.3092 0.1203 0.8112
0.3092 0.4980 0.1888
0.4980 0.1888 0.3092
0.5020 0.8112 0.6908
0.6908 0.5020 0.8112
0.6908 0.8797 0.1888
0.8112 0.3092 0.1203
0.8112 0.6908 0.5020
0.8797 0.1888 0.6908
0.1111 0.6111 0.5000
0.3889 0.5000 0.8889
0.5000 0.1111 0.6111
0.5000 0.8889 0.3889
0.6111 0.5000 0.1111
0.8889 0.3889 0.5000
0.0000 0.0000 0.0000
```

Peak list (10 most intense, 2θ from 10° to 90°, by angle)
- 2θ = 27.66°, intensity 50
- 2θ = 30.36°, intensity 46
- 2θ = 32.86°, intensity 100
- 2θ = 35.20°, intensity 16
- 2θ = 45.34°, intensity 28
- 2θ = 52.30°, intensity 35
- 2θ = 55.54°, intensity 36
- 2θ = 64.61°, intensity 19
- 2θ = 79.79°, intensity 18
- 2θ = 81.11°, intensity 16